1.
# La2TbHgC
Computed X-ray powder pattern, Cu Kα, 1.54184 Å. Input: a GGA-PBE-relaxed structure.
Lines closer than 0.1° are merged.

Structure:
```
5
Lattice="5.2413 0.0000 0.0000 0.0000 5.2413 0.0000 0.0000 0.0000 4.9055" Properties=species:S:1:pos:R:3 pbc="T T T"
La 0.0000 2.6207 0.0000
La 2.6207 0.0000 0.0000
Tb 0.0000 0.0000 2.4527
Hg 2.6207 2.6207 2.4527
C 0.0000 0.0000 0.0000
```

The 6 most intense peaks (2θ = 10–90°), in order of rising 2θ:
two_theta, I (rel.)
30.2, 100
34.2, 39
36.6, 16
49.2, 14
51.0, 25
58.8, 31

---

2.
# CdHg2Se3
Computed X-ray powder pattern, Cu Kα, 1.54184 Å. Input: a GGA-PBE-relaxed structure.
Lines closer than 0.1° are merged.

Structure:
```
12
Lattice="3.8205 -6.6190 0.0000 3.8205 6.6190 0.0000 -2.5546 0.0000 7.2067" Properties=species:S:1:pos:R:3 pbc="T T T"
Cd 2.5432 5.5170 3.6033
Cd 3.8205 -5.5170 0.0000
Hg 3.8312 3.3230 0.0107
Hg 2.5477 1.0964 3.6004
Hg 1.2704 -1.0964 7.2038
Hg 2.5539 -3.3230 3.6140
Se 1.2890 3.3206 4.5059
Se 2.5365 1.1113 0.8928
Se 1.2592 -1.1113 4.4962
Se 2.5663 -3.3206 0.9026
Se 5.0990 1.0835 4.5212
Se 6.3763 -1.0835 0.9179
```

The 6 most intense peaks (2θ = 10–90°), in order of rising 2θ:
two_theta, I (rel.)
24.7, 100
40.9, 71
48.4, 41
65.2, 20
74.5, 24
79.9, 15

---

3.
# Te2Pb2BrO6
Computed X-ray powder pattern, Cu Kα, 1.54184 Å. Input: a GGA-PBE-relaxed structure.
Lines closer than 0.1° are merged.

Structure:
```
11
Lattice="5.6117 0.0000 0.0000 -0.3366 6.7270 0.0000 -2.4888 -2.6781 5.9635" Properties=species:S:1:pos:R:3 pbc="T T T"
Te -0.5259 2.6153 1.5970
Te 3.3122 1.4336 4.3665
Pb 0.4543 -0.7127 4.5056
Pb 2.3320 4.7615 1.4578
Br 0.0000 0.0000 0.0000
O -0.5242 1.2377 3.5278
O -1.3491 0.5668 5.8977
O 0.2721 4.0877 2.4922
O 2.5142 -0.0388 3.4713
O 4.1354 3.4820 0.0658
O 3.3105 2.8111 2.4357
```

The 6 most intense peaks (2θ = 10–90°), in order of rising 2θ:
two_theta, I (rel.)
15.9, 54
24.8, 100
25.7, 74
27.2, 69
30.7, 59
32.0, 60

---

- What is the formula in the first record?
  La2TbHgC

---

Please write out number 1 again, unchanged.
# La2TbHgC
Computed X-ray powder pattern, Cu Kα, 1.54184 Å. Input: a GGA-PBE-relaxed structure.
Lines closer than 0.1° are merged.

Structure:
```
5
Lattice="5.2413 0.0000 0.0000 0.0000 5.2413 0.0000 0.0000 0.0000 4.9055" Properties=species:S:1:pos:R:3 pbc="T T T"
La 0.0000 2.6207 0.0000
La 2.6207 0.0000 0.0000
Tb 0.0000 0.0000 2.4527
Hg 2.6207 2.6207 2.4527
C 0.0000 0.0000 0.0000
```

The 6 most intense peaks (2θ = 10–90°), in order of rising 2θ:
two_theta, I (rel.)
30.2, 100
34.2, 39
36.6, 16
49.2, 14
51.0, 25
58.8, 31

---

- Number 3 is which compound?
  Te2Pb2BrO6